Entry 1:
Starting from a DFT-relaxed cell (GGA-PBE, Alexandria), the powder X-ray diffraction pattern of DyThCu10 was computed for Cu Kα (λ = 1.5418 Å).
Neutral-atom scattering factors, no anomalous dispersion.

Structural model:
```
12
Lattice="4.107 0.000 0.000 0.000 5.109 0.000 0.000 0.000 8.749" Properties=species:S:1:pos:R:3 pbc="T T T"
Dy 0.000 0.000 0.000
Th 0.000 2.555 4.374
Cu 0.000 0.000 2.870
Cu 0.000 0.000 5.879
Cu 0.000 2.555 1.415
Cu 0.000 2.555 7.334
Cu 2.054 0.000 4.374
Cu 2.054 1.277 2.177
Cu 2.054 1.277 6.572
Cu 2.054 2.555 0.000
Cu 2.054 3.832 2.177
Cu 2.054 3.832 6.572
```

Peak list (6 most intense, 10° ≤ 2θ ≤ 90°, sorted by position)
| hkl | 2theta | I (rel.) |
| --- | --- | --- |
| 1 1 1 | 29.7 | 58 |
| 0 1 3 | 35.4 | 34 |
| 0 2 2 | 40.9 | 37 |
| 1 2 0 | 41.6 | 51 |
| 1 1 3 | 41.9 | 100 |
| 2 0 0 | 44.1 | 39 |


Entry 2:
Starting from a DFT-relaxed cell (GGA-PBE, Alexandria), the powder X-ray diffraction pattern of CeNp2C was computed for Cu Kα (λ = 1.5418 Å).
Neutral-atom scattering factors, no anomalous dispersion.

Structural model:
```
12
Lattice="3.736 0.000 0.000 -1.868 3.235 0.000 0.000 0.000 16.908" Properties=species:S:1:pos:R:3 pbc="T T T"
Ce 0.000 0.000 0.000
Ce 0.000 2.157 11.272
Ce 1.868 1.078 5.636
Np 0.000 0.000 4.042
Np 0.000 0.000 12.867
Np 0.000 2.157 7.231
Np 0.000 2.157 15.314
Np 1.868 1.078 1.595
Np 1.868 1.078 9.678
C 0.000 0.000 8.454
C 0.000 2.157 2.818
C 1.868 1.078 14.090
```

Peak list (6 most intense, 10° ≤ 2θ ≤ 90°, sorted by position)
| hkl | 2theta | I (rel.) |
| --- | --- | --- |
| 0 1 2 | 29.6 | 41 |
| 1 0 4 | 34.9 | 100 |
| 1 1 0 | 48.8 | 42 |
| 0 1 8 | 51.7 | 28 |
| 0 2 4 | 61.4 | 20 |
| 2 1 4 | 82.0 | 18 |


Entry 3:
Starting from a DFT-relaxed cell (GGA-PBE, Alexandria), the powder X-ray diffraction pattern of Tm5Tl2PdRh2 was computed for Cu Kα (λ = 1.5418 Å).
Neutral-atom scattering factors, no anomalous dispersion.

Structural model:
```
20
Lattice="11.559 0.000 0.000 0.000 11.559 0.000 0.000 0.000 3.532" Properties=species:S:1:pos:R:3 pbc="T T T"
Tm 0.000 5.779 0.000
Tm 0.843 2.281 0.000
Tm 2.281 10.716 0.000
Tm 3.498 4.937 0.000
Tm 4.937 8.060 0.000
Tm 5.779 0.000 0.000
Tm 6.622 3.498 0.000
Tm 8.060 6.622 0.000
Tm 9.278 0.843 0.000
Tm 10.716 9.278 0.000
Tl 1.999 7.778 1.766
Tl 3.780 1.999 1.766
Tl 7.778 9.560 1.766
Tl 9.560 3.780 1.766
Pd 0.000 0.000 1.766
Pd 5.779 5.779 1.766
Rh 1.544 4.235 1.766
Rh 4.235 10.015 1.766
Rh 7.324 1.544 1.766
Rh 10.015 7.324 1.766
```

Peak list (6 most intense, 10° ≤ 2θ ≤ 90°, sorted by position)
| hkl | 2theta | I (rel.) |
| --- | --- | --- |
| 2 1 1 | 30.7 | 19 |
| 4 1 0 | 31.9 | 56 |
| 3 3 0 | 32.9 | 23 |
| 4 2 0 | 34.7 | 20 |
| 3 1 1 | 35.3 | 100 |
| 3 2 1 | 37.9 | 33 |


Copy entry 2 word for word.
Starting from a DFT-relaxed cell (GGA-PBE, Alexandria), the powder X-ray diffraction pattern of CeNp2C was computed for Cu Kα (λ = 1.5418 Å).
Neutral-atom scattering factors, no anomalous dispersion.

Structural model:
```
12
Lattice="3.736 0.000 0.000 -1.868 3.235 0.000 0.000 0.000 16.908" Properties=species:S:1:pos:R:3 pbc="T T T"
Ce 0.000 0.000 0.000
Ce 0.000 2.157 11.272
Ce 1.868 1.078 5.636
Np 0.000 0.000 4.042
Np 0.000 0.000 12.867
Np 0.000 2.157 7.231
Np 0.000 2.157 15.314
Np 1.868 1.078 1.595
Np 1.868 1.078 9.678
C 0.000 0.000 8.454
C 0.000 2.157 2.818
C 1.868 1.078 14.090
```

Peak list (6 most intense, 10° ≤ 2θ ≤ 90°, sorted by position)
| hkl | 2theta | I (rel.) |
| --- | --- | --- |
| 0 1 2 | 29.6 | 41 |
| 1 0 4 | 34.9 | 100 |
| 1 1 0 | 48.8 | 42 |
| 0 1 8 | 51.7 | 28 |
| 0 2 4 | 61.4 | 20 |
| 2 1 4 | 82.0 | 18 |